The following is a simulated powder diffraction line list of LuU4S5O4. It was derived from a crystal structure in Alexandria, relaxed with PBE, using a wavelength of 1.5418 Å.
Lines closer than 0.1° are merged.

Main lines, low angle first (15° ≤ 2θ ≤ 90°):
2θ (°)  I/Imax
25.83  25
26.83  100
33.24  15
33.43  51
37.21  19
42.72  36
48.00  23
55.84  29

Cell and atoms:
```
LuU4S5O4
1.0
-1.895 1.895 17.249
1.895 -1.895 17.249
1.895 1.895 -17.249
Lu U S O
1 4 5 4
Cartesian
0.000 0.000 0.000
0.000 0.000 6.633
0.000 0.000 13.315
0.000 0.000 21.182
0.000 0.000 27.864
0.000 0.000 2.657
0.000 0.000 9.556
0.000 0.000 17.249
0.000 0.000 24.941
0.000 0.000 31.840
1.895 0.000 5.213
1.895 0.000 12.035
0.000 1.895 5.213
0.000 1.895 12.035
```